Diffraction record for CuS3Br. The powder diffractogram is simulated, not measured: it uses the GGA-PBE geometry in Alexandria and Cu Kα X-rays.
Peak positions follow from Bragg's law for the DFT cell and can differ from measured ones.

Largest 12 diffraction maxima, by angle, 15° ≤ 2θ ≤ 90°:
Position (°2θ)  d [Å]  I/Imax  h k l
17.80  4.982  20  0 1 1
19.01  4.668  58  0 0 3
20.95  4.241  22  0 1 2
24.49  3.635  32  1 0 -2
25.32  3.517  100  1 0 2
34.25  2.618  30  0 2 1
36.06  2.491  34  0 2 2
37.03  2.428  18  1 1 -4
41.82  2.160  21  1 1 -5
43.04  2.102  18  1 1 5
47.11  1.929  18  2 1 -1
48.60  1.873  20  1 2 4

Cell and atoms:
```
CuS3Br
1.0
4.1656 0.0000 0.0000
0.0000 5.3306 0.0000
-0.4943 0.0000 14.0037
Cu S Br
2 6 2
Direct
0.1683 0.2500 0.0089 Cu
0.8317 0.7500 0.9911 Cu
0.2295 0.5299 0.3309 S
0.2295 0.9701 0.3309 S
0.2407 0.2500 0.4272 S
0.7593 0.7500 0.5728 S
0.7705 0.0299 0.6691 S
0.7705 0.4701 0.6691 S
0.3148 0.7500 0.9149 Br
0.6852 0.2500 0.0851 Br
```